Computed powder diffraction line list
Compound: Y2Ga2Au
Radiation: Cu Ka
Structure: a cell relaxed with GGA-PBE

Main lines, sorted by position (2θ from 5° to 70°):
2theta	I (rel.)
9.4	41
16.6	29
26.2	25
32.0	65
32.7	78
35.9	37
38.4	19
39.6	100
40.7	50
58.1	20

a = 5.7965 Å, b = 5.7965 Å, c = 10.5804 Å
α = 115.26°, β = 115.26°, γ = 44.94°
Sites, in units of the cell vectors:
Y  0.0125  0.0125  0.3281
Y  0.1851  0.1851  0.1078
Y  0.8149  0.8149  0.8922
Y  0.9875  0.9875  0.6719
Ga  0.3633  0.3633  0.4422
Ga  0.4708  0.4708  0.1083
Ga  0.5292  0.5292  0.8917
Ga  0.6367  0.6367  0.5578
Au  0.2744  0.2744  0.6617
Au  0.7256  0.7256  0.3383